KPa2Te6: simulated PXRD pattern (λ = 1.5418 Å (Cu Kα)), based on a crystal structure in Alexandria, relaxed with PBE.

Main lines, most intense first (2θ from 15° to 90°):
2θ 31.47, rel. 1000
2θ 37.66, rel. 972
2θ 29.14, rel. 723
2θ 35.31, rel. 500
2θ 56.89, rel. 464
2θ 31.03, rel. 449
2θ 55.21, rel. 225
2θ 42.36, rel. 223
2θ 56.30, rel. 214
2θ 53.43, rel. 202

Cell and atoms:
```
data_KPa2Te6
_space_group_name_H-M_alt 'P 1'
_space_group_IT_number 1
_cell_length_a 8.8042
_cell_length_b 8.8042
_cell_length_c 4.2675
_cell_angle_alpha 90.00
_cell_angle_beta 90.00
_cell_angle_gamma 120.00
loop_
_space_group_symop_operation_xyz
'x,y,z'
loop_
_atom_site_label
_atom_site_fract_x
_atom_site_fract_y
_atom_site_fract_z
K1 0.0000 0.0000 0.0000
Pa1 0.3333 0.6667 0.7564
Pa2 0.6667 0.3333 0.2436
Te1 0.0872 0.6849 0.2575
Te2 0.3151 0.4023 0.2575
Te3 0.4023 0.0872 0.7425
Te4 0.5977 0.9128 0.2575
Te5 0.6849 0.5977 0.7425
Te6 0.9128 0.3151 0.7425
```

=====

KPa6Te12: simulated PXRD pattern (λ = 1.5418 Å (Cu Kα)), based on a crystal structure in Alexandria, relaxed with PBE.

Main lines, most intense first (2θ from 15° to 90°):
2θ 31.79, rel. 1000
2θ 33.00, rel. 817
2θ 36.73, rel. 741
2θ 39.27, rel. 573
2θ 20.27, rel. 482
2θ 32.83, rel. 326
2θ 21.83, rel. 310
2θ 26.62, rel. 305
2θ 51.79, rel. 287
2θ 36.30, rel. 247

Cell and atoms:
```
data_KPa6Te12
_space_group_name_H-M_alt 'P 1'
_space_group_IT_number 1
_cell_length_a 9.1906
_cell_length_b 9.1906
_cell_length_c 9.1906
_cell_angle_alpha 106.17
_cell_angle_beta 106.17
_cell_angle_gamma 106.17
loop_
_space_group_symop_operation_xyz
'x,y,z'
loop_
_atom_site_label
_atom_site_fract_x
_atom_site_fract_y
_atom_site_fract_z
K1 0.0000 0.0000 0.0000
Pa1 0.2695 0.2695 0.6745
Pa2 0.2695 0.6745 0.2695
Pa3 0.3255 0.7305 0.7305
Pa4 0.6745 0.2695 0.2695
Pa5 0.7305 0.3255 0.7305
Pa6 0.7305 0.7305 0.3255
Te1 0.1255 0.5000 0.8745
Te2 0.1255 0.8745 0.5000
Te3 0.1621 0.4199 0.4199
Te4 0.4199 0.1621 0.4199
Te5 0.4199 0.4199 0.1621
Te6 0.5000 0.1255 0.8745
Te7 0.5000 0.8745 0.1255
Te8 0.5801 0.5801 0.8379
Te9 0.5801 0.8379 0.5801
Te10 0.8379 0.5801 0.5801
Te11 0.8745 0.1255 0.5000
Te12 0.8745 0.5000 0.1255
```

=====

K2PaTe4: simulated PXRD pattern (λ = 1.5418 Å (Cu Kα)), based on a crystal structure in Alexandria, relaxed with PBE.

Main lines, most intense first (2θ from 15° to 90°):
2θ 22.54, rel. 1000
2θ 30.45, rel. 940
2θ 28.90, rel. 641
2θ 30.63, rel. 585
2θ 35.17, rel. 520
2θ 39.03, rel. 489
2θ 37.72, rel. 401
2θ 20.41, rel. 317
2θ 44.87, rel. 309
2θ 50.43, rel. 291

Cell and atoms:
```
data_K2PaTe4
_space_group_name_H-M_alt 'P 1'
_space_group_IT_number 1
_cell_length_a 8.3438
_cell_length_b 4.6135
_cell_length_c 8.7740
_cell_angle_alpha 90.00
_cell_angle_beta 114.17
_cell_angle_gamma 90.00
loop_
_space_group_symop_operation_xyz
'x,y,z'
loop_
_atom_site_label
_atom_site_fract_x
_atom_site_fract_y
_atom_site_fract_z
K1 0.2233 0.0000 0.3139
K2 0.7767 0.0000 0.6861
Pa1 0.5000 0.5000 0.0000
Te1 0.2406 0.0000 0.9223
Te2 0.4092 0.5000 0.6369
Te3 0.5908 0.5000 0.3631
Te4 0.7594 0.0000 0.0777
```

=====

K5PaTe5: simulated PXRD pattern (λ = 1.5418 Å (Cu Kα)), based on a crystal structure in Alexandria, relaxed with PBE.

Main lines, most intense first (2θ from 15° to 90°):
2θ 27.24, rel. 1000
2θ 25.73, rel. 963
2θ 25.11, rel. 905
2θ 37.82, rel. 685
2θ 37.39, rel. 627
2θ 44.93, rel. 497
2θ 32.49, rel. 475
2θ 35.02, rel. 458
2θ 33.15, rel. 449
2θ 43.43, rel. 333

Cell and atoms:
```
data_K5PaTe5
_space_group_name_H-M_alt 'P 1'
_space_group_IT_number 1
_cell_length_a 8.7506
_cell_length_b 8.7506
_cell_length_c 9.5978
_cell_angle_alpha 107.17
_cell_angle_beta 107.17
_cell_angle_gamma 43.93
loop_
_space_group_symop_operation_xyz
'x,y,z'
loop_
_atom_site_label
_atom_site_fract_x
_atom_site_fract_y
_atom_site_fract_z
K1 0.0000 0.0000 0.0000
K2 0.3027 0.3027 0.1818
K3 0.3203 0.3203 0.6448
K4 0.6797 0.6797 0.3552
K5 0.6973 0.6973 0.8182
Pa1 0.0000 0.0000 0.5000
Te1 0.1334 0.1334 0.3456
Te2 0.1421 0.1421 0.7945
Te3 0.5000 0.5000 0.5000
Te4 0.8579 0.8579 0.2055
Te5 0.8666 0.8666 0.6544
```

=====

KPb3: simulated PXRD pattern (λ = 1.5418 Å (Cu Kα)), based on a crystal structure in Alexandria, relaxed with PBE.

Main lines, most intense first (2θ from 15° to 90°):
2θ 32.60, rel. 1000
2θ 31.92, rel. 446
2θ 30.12, rel. 346
2θ 15.80, rel. 299
2θ 28.81, rel. 226
2θ 59.58, rel. 201
2θ 50.11, rel. 191
2θ 28.04, rel. 180
2θ 55.08, rel. 174
2θ 61.90, rel. 138

Cell and atoms:
```
data_KPb3
_space_group_name_H-M_alt 'P 1'
_space_group_IT_number 1
_cell_length_a 6.9629
_cell_length_b 6.9629
_cell_length_c 6.9629
_cell_angle_alpha 150.49
_cell_angle_beta 63.09
_cell_angle_gamma 125.62
loop_
_space_group_symop_operation_xyz
'x,y,z'
loop_
_atom_site_label
_atom_site_fract_x
_atom_site_fract_y
_atom_site_fract_z
K1 0.0000 0.0000 0.0000
Pb1 0.4066 0.6386 0.7680
Pb2 0.4854 0.9854 0.5000
Pb3 0.8706 0.6386 0.2320
```

=====

KPb3: simulated PXRD pattern (λ = 1.5418 Å (Cu Kα)), based on a crystal structure in Alexandria, relaxed with PBE.

Main lines, most intense first (2θ from 15° to 90°):
2θ 31.33, rel. 1000
2θ 55.76, rel. 400
2θ 44.89, rel. 189
2θ 74.27, rel. 175
2θ 19.03, rel. 132
2θ 65.36, rel. 125
2θ 36.91, rel. 82
2θ 22.01, rel. 72
2θ 82.80, rel. 45
2θ 49.17, rel. 38

Cell and atoms:
```
data_KPb3
_space_group_name_H-M_alt 'P 1'
_space_group_IT_number 1
_cell_length_a 5.7108
_cell_length_b 5.7108
_cell_length_c 5.7108
_cell_angle_alpha 60.00
_cell_angle_beta 60.00
_cell_angle_gamma 60.00
loop_
_space_group_symop_operation_xyz
'x,y,z'
loop_
_atom_site_label
_atom_site_fract_x
_atom_site_fract_y
_atom_site_fract_z
K1 0.0000 0.0000 0.0000
Pb1 0.2500 0.2500 0.2500
Pb2 0.5000 0.5000 0.5000
Pb3 0.7500 0.7500 0.7500
```

=====

K2Pb17: simulated PXRD pattern (λ = 1.5418 Å (Cu Kα)), based on a crystal structure in Alexandria, relaxed with PBE.

Main lines, most intense first (2θ from 15° to 90°):
2θ 34.84, rel. 1000
2θ 31.07, rel. 969
2θ 15.40, rel. 277
2θ 31.48, rel. 163
2θ 55.33, rel. 153
2θ 64.81, rel. 150
2θ 55.20, rel. 131
2θ 67.06, rel. 131
2θ 52.73, rel. 122
2θ 27.30, rel. 120

Cell and atoms:
```
data_K2Pb17
_space_group_name_H-M_alt 'P 1'
_space_group_IT_number 1
_cell_length_a 8.7973
_cell_length_b 8.7973
_cell_length_c 8.7973
_cell_angle_alpha 81.66
_cell_angle_beta 81.66
_cell_angle_gamma 81.66
loop_
_space_group_symop_operation_xyz
'x,y,z'
loop_
_atom_site_label
_atom_site_fract_x
_atom_site_fract_y
_atom_site_fract_z
K1 0.1609 0.1609 0.1609
K2 0.8391 0.8391 0.8391
Pb1 0.0000 0.5000 0.5000
Pb2 0.1508 0.1508 0.6545
Pb3 0.1508 0.6545 0.1508
Pb4 0.2030 0.5000 0.7970
Pb5 0.2030 0.7970 0.5000
Pb6 0.3455 0.8492 0.8492
Pb7 0.4026 0.4026 0.4026
Pb8 0.5000 0.0000 0.5000
Pb9 0.5000 0.2030 0.7970
Pb10 0.5000 0.5000 0.0000
Pb11 0.5000 0.7970 0.2030
Pb12 0.5974 0.5974 0.5974
Pb13 0.6545 0.1508 0.1508
Pb14 0.7970 0.2030 0.5000
Pb15 0.7970 0.5000 0.2030
Pb16 0.8492 0.3455 0.8492
Pb17 0.8492 0.8492 0.3455
```

=====

KPb3: simulated PXRD pattern (λ = 1.5418 Å (Cu Kα)), based on a crystal structure in Alexandria, relaxed with PBE.

Main lines, most intense first (2θ from 15° to 90°):
2θ 29.74, rel. 1000
2θ 35.67, rel. 745
2θ 31.28, rel. 475
2θ 28.50, rel. 472
2θ 32.28, rel. 378
2θ 38.01, rel. 271
2θ 50.69, rel. 218
2θ 41.52, rel. 164
2θ 47.01, rel. 162
2θ 15.49, rel. 147

Cell and atoms:
```
data_KPb3
_space_group_name_H-M_alt 'P 1'
_space_group_IT_number 1
_cell_length_a 6.0449
_cell_length_b 6.0449
_cell_length_c 6.9077
_cell_angle_alpha 97.56
_cell_angle_beta 97.56
_cell_angle_gamma 34.39
loop_
_space_group_symop_operation_xyz
'x,y,z'
loop_
_atom_site_label
_atom_site_fract_x
_atom_site_fract_y
_atom_site_fract_z
K1 0.0000 0.0000 0.0000
Pb1 0.2455 0.2455 0.6959
Pb2 0.5000 0.5000 0.5000
Pb3 0.7545 0.7545 0.3041
```